1.
Structure and simulated X-ray diffraction stick pattern of Ba5Zn2B4O12F2 (DFT lattice parameters and positions (PBE); Cu Kα (λ = 1.5418 Å)).
Lines closer than 0.1° are merged.

Structural model:
Unit cell a=13.5745 b=13.5745 c=8.1325 alpha=105.01 beta=105.01 gamma=31.49
Atoms (fractional coordinates):
Ba 0.0694 0.9306 0.7500
Ba 0.0734 0.2616 0.4007
Ba 0.2616 0.0734 0.9007
Ba 0.3142 0.5368 0.3354
Ba 0.4632 0.6858 0.1646
Ba 0.5368 0.3142 0.8354
Ba 0.6858 0.4632 0.6646
Ba 0.7384 0.9266 0.0993
Ba 0.9266 0.7384 0.5993
Ba 0.9306 0.0694 0.2500
Zn 0.1552 0.4624 0.9833
Zn 0.4624 0.1552 0.4833
Zn 0.5376 0.8448 0.5167
Zn 0.8448 0.5376 0.0167
B 0.1144 0.7324 0.9698
B 0.1221 0.4287 0.2755
B 0.2676 0.8856 0.5302
B 0.4287 0.1221 0.7755
B 0.5713 0.8779 0.2245
B 0.7324 0.1144 0.4698
B 0.8779 0.5713 0.7245
B 0.8856 0.2676 0.0302
O 0.0714 0.1015 0.0910
O 0.0812 0.3689 0.1645
O 0.0926 0.5444 0.2283
O 0.1015 0.0714 0.5910
O 0.1892 0.3754 0.4428
O 0.1978 0.5671 0.9682
O 0.2278 0.7225 0.0412
O 0.2775 0.7722 0.4588
O 0.3689 0.0812 0.6645
O 0.3754 0.1892 0.9428
O 0.4329 0.8022 0.5318
O 0.4556 0.9074 0.2717
O 0.5444 0.0926 0.7283
O 0.5671 0.1978 0.4682
O 0.6246 0.8108 0.0572
O 0.6311 0.9188 0.3355
O 0.7225 0.2278 0.5412
O 0.7722 0.2775 0.9588
O 0.8022 0.4329 0.0318
O 0.8108 0.6246 0.5572
O 0.8985 0.9286 0.4090
O 0.9074 0.4556 0.7717
O 0.9188 0.6311 0.8355
O 0.9286 0.8985 0.9090
F 0.2369 0.6088 0.6487
F 0.3912 0.7631 0.8513
F 0.6088 0.2369 0.1487
F 0.7631 0.3912 0.3513

Most intense lines, 2θ from 15° to 90°, most intense first:
- d = 3.333 Å, 2θ = 26.75°, intensity 1000
- d = 3.231 Å, 2θ = 27.61°, intensity 893
- d = 2.855 Å, 2θ = 31.33°, intensity 786
- d = 1.958 Å, 2θ = 46.37°, intensity 557
- d = 3.096 Å, 2θ = 28.84°, intensity 556
- d = 2.815 Å, 2θ = 31.79°, intensity 512
- d = 2.542 Å, 2θ = 35.31°, intensity 499
- d = 4.156 Å, 2θ = 21.38°, intensity 465
- d = 3.319 Å, 2θ = 26.86°, intensity 439
- d = 2.984 Å, 2θ = 29.94°, intensity 395

***

2.
Structure and simulated X-ray diffraction stick pattern of BaBPF10 (DFT lattice parameters and positions (PBE); Cu Kα (λ = 1.5418 Å)).
Lines closer than 0.1° are merged.

Structural model:
Unit cell a=10.5455 b=10.5455 c=6.3071 alpha=90.00 beta=90.00 gamma=120.00
Atoms (fractional coordinates):
Ba 0.0000 0.0000 0.0000
Ba 0.3333 0.6667 0.5000
Ba 0.6667 0.3333 0.5000
B 0.0000 0.7523 0.5000
B 0.2477 0.2477 0.5000
B 0.7523 0.0000 0.5000
P 0.0000 0.4390 0.0000
P 0.4390 0.0000 0.0000
P 0.5610 0.5610 0.0000
F 0.0000 0.2842 0.0000
F 0.0000 0.5915 0.0000
F 0.0000 0.8290 0.3169
F 0.0000 0.8290 0.6831
F 0.1264 0.7373 0.5000
F 0.1276 0.5014 0.1846
F 0.1276 0.5014 0.8154
F 0.1710 0.1710 0.3169
F 0.1710 0.1710 0.6831
F 0.2627 0.3891 0.5000
F 0.2842 0.0000 0.0000
F 0.3738 0.8724 0.1846
F 0.3738 0.8724 0.8154
F 0.3891 0.2627 0.5000
F 0.4085 0.4085 0.0000
F 0.4986 0.6262 0.1846
F 0.4986 0.6262 0.8154
F 0.5014 0.1276 0.1846
F 0.5014 0.1276 0.8154
F 0.5915 0.0000 0.0000
F 0.6109 0.8736 0.5000
F 0.6262 0.4986 0.1846
F 0.6262 0.4986 0.8154
F 0.7158 0.7158 0.0000
F 0.7373 0.1264 0.5000
F 0.8290 0.0000 0.3169
F 0.8290 0.0000 0.6831
F 0.8724 0.3738 0.1846
F 0.8724 0.3738 0.8154
F 0.8736 0.6109 0.5000

Most intense lines, 2θ from 15° to 90°, most intense first:
- d = 3.699 Å, 2θ = 24.06°, intensity 1000
- d = 5.273 Å, 2θ = 16.81°, intensity 445
- d = 4.045 Å, 2θ = 21.97°, intensity 432
- d = 2.190 Å, 2θ = 41.22°, intensity 375
- d = 5.190 Å, 2θ = 17.09°, intensity 291
- d = 3.028 Å, 2θ = 29.50°, intensity 273
- d = 2.023 Å, 2θ = 44.81°, intensity 267
- d = 1.988 Å, 2θ = 45.63°, intensity 219
- d = 2.350 Å, 2θ = 38.29°, intensity 213
- d = 1.993 Å, 2θ = 45.51°, intensity 212